Simulated powder X-ray diffraction pattern
Compound: HoGa2Pd2Pt
Radiation: Cu Kα (λ = 1.5418 Å)
Structure: DFT lattice parameters and positions (PBE)
Peak positions follow from Bragg's law for the DFT cell and can differ from measured ones.

The 10 most intense peaks (2θ = 5–70°), sorted by position:
two_theta, d (Å), I (rel.)
16.10, 5.505, 18
18.81, 4.719, 16
26.72, 3.337, 69
37.84, 2.377, 100
38.14, 2.359, 78
50.98, 1.791, 11
54.82, 1.675, 68
55.04, 1.668, 27
62.21, 1.492, 13
68.74, 1.366, 17

Cell and atoms:
a b c (Å): 4.7188 4.7188 5.5047
angles (deg): 90.00 90.00 90.00
Space group P4/mmm (No. 123)
Unique sites:
Ho 0.0000 0.0000 0.0000 (multiplicity 1)
Ga 0.0000 0.5000 0.5000 (multiplicity 2)
Pd 0.5000 0.5000 0.2436 (multiplicity 2)
Pt 0.0000 0.0000 0.5000 (multiplicity 1)